No. 1
Theoretical PXRD pattern
Compound: Sr4TmTe5
Radiation: copper Kα
Structure: DFT lattice parameters and positions (GGA-PBE)
Intensities are scaled so that the largest is 100.

Principal peaks in the range 15° ≤ 2θ ≤ 90°, most intense first:
(hkl), 2θ (°), I_rel
0 0 2, 27.2, 100
1 3 2, 38.8, 76
1 3 4, 63.4, 34
4 2 2, 48.0, 27
4 2 4, 70.3, 25
7 1 4, 89.7, 15
0 0 4, 56.1, 13
2 6 4, 83.3, 8
1 0 1, 16.0, 4
1 4 1, 38.3, 2

Cell and atoms:
abc: 10.368 10.368 6.568
angles: 90.00 90.00 90.00
Space group I4/m (No. 87)
Symmetry-distinct sites (fractional):
Sr1 0.094 0.301 0.000
Tm1 0.000 0.000 0.500
Te1 0.000 0.000 0.000
Te2 0.096 0.284 0.500



No. 2
Theoretical PXRD pattern
Compound: Sr3Pt2
Radiation: copper Kα
Structure: DFT lattice parameters and positions (GGA-PBE)
Intensities are scaled so that the largest is 100.

Principal peaks in the range 15° ≤ 2θ ≤ 90°, most intense first:
(hkl), 2θ (°), I_rel
3 -2 2, 30.9, 100
2 -1 6, 35.7, 85
2 1 4, 35.5, 69
3 0 0, 33.2, 65
1 1 3, 24.2, 45
0 0 6, 30.0, 42
1 1 0, 19.0, 40
1 3 1, 40.4, 31
3 1 2, 41.4, 29
1 3 4, 45.1, 29

Cell and atoms:
abc: 9.3596 9.3596 17.8770
angles: 90.00 90.00 120.00
Space group R-3 (No. 148, hexagonal axes)
Symmetry-distinct sites (fractional):
Sr1 0.0000 0.0000 0.0000
Sr2 0.0000 0.0000 0.2007
Sr3 0.0125 0.7477 0.5933
Pt1 0.0212 0.4129 0.5663